1.
For Y2AsS, a crystal structure in Alexandria, relaxed with GGA-PBE gives the theoretical XRD peak list in this record (CuKα).

a = 4.0415 Å, b = 4.0415 Å, c = 19.5936 Å
α = 90.00°, β = 90.00°, γ = 120.00°
Space group R-3m (No. 166, hexagonal axes)
Asymmetric unit:
Y1 0.0000 0.0000 0.2494 [6 per cell]
As1 0.0000 0.0000 0.0000 [3 per cell]
S1 0.0000 0.0000 0.5000 [3 per cell]

Largest 10 diffraction maxima, by angle, 10° ≤ 2θ ≤ 90°:
| (hkl) | 2θ (°) | I (rel.) |
| --- | --- | --- |
| 0 1 2 | 27.1 | 9 |
| 1 0 4 | 31.4 | 100 |
| 1 1 0 | 44.9 | 36 |
| 0 1 8 | 45.2 | 35 |
| 0 2 4 | 55.8 | 19 |
| 0 0 12 | 56.3 | 6 |
| 2 0 8 | 65.6 | 11 |
| 2 1 4 | 74.3 | 15 |
| 1 1 12 | 74.7 | 15 |
| 1 2 8 | 83.0 | 12 |

***

2.
For Nd2BiBr2, a crystal structure in Alexandria, relaxed with GGA-PBE gives the theoretical XRD peak list in this record (CuKα).

a = 4.4325 Å, b = 4.4325 Å, c = 32.6774 Å
α = 90.00°, β = 90.00°, γ = 120.00°
Space group R-3m (No. 166, hexagonal axes)
Asymmetric unit:
Nd1 0.0000 0.0000 0.1098 [6 per cell]
Bi1 0.0000 0.0000 0.5000 [3 per cell]
Br1 0.0000 0.0000 0.2765 [6 per cell]

Largest 10 diffraction maxima, by angle, 10° ≤ 2θ ≤ 90°:
| (hkl) | 2θ (°) | I (rel.) |
| --- | --- | --- |
| 0 1 5 | 26.9 | 100 |
| 0 1 8 | 32.0 | 36 |
| 1 0 10 | 36.1 | 27 |
| 1 1 0 | 40.7 | 40 |
| 1 1 3 | 41.6 | 12 |
| 1 0 13 | 43.0 | 28 |
| 2 0 5 | 49.5 | 19 |
| 1 2 5 | 66.0 | 16 |
| 1 1 18 | 66.6 | 18 |
| 2 1 13 | 75.7 | 11 |

***

3.
For YTm3Tl3Te8, a crystal structure in Alexandria, relaxed with GGA-PBE gives the theoretical XRD peak list in this record (CuKα).

a = 15.113 Å, b = 8.710 Å, c = 9.613 Å
α = 90.00°, β = 121.65°, γ = 90.00°
Space group C2/m (No. 12)
Asymmetric unit:
Y1 0.000 0.000 0.000 [2 per cell]
Tm1 0.000 0.500 0.000 [2 per cell]
Tm2 0.250 0.250 0.000 [4 per cell]
Tl1 0.000 0.000 0.500 [2 per cell]
Tl2 0.250 0.250 0.500 [4 per cell]
Te1 0.013 0.254 0.786 [8 per cell]
Te2 0.238 0.500 0.213 [4 per cell]
Te3 0.241 0.000 0.214 [4 per cell]

Largest 10 diffraction maxima, by angle, 10° ≤ 2θ ≤ 90°:
| (hkl) | 2θ (°) | I (rel.) |
| --- | --- | --- |
| 2 0 0 | 13.8 | 8 |
| 4 0 0 | 27.7 | 100 |
| 2 2 2 | 37.8 | 39 |
| 0 4 0 | 41.4 | 36 |
| 0 0 4 | 44.3 | 7 |
| 4 4 0 | 50.6 | 19 |
| 8 0 0 | 57.3 | 12 |
| 6 2 2 | 62.2 | 15 |
| 10 2 -2 | 67.4 | 16 |
| 8 4 0 | 73.1 | 7 |

***

4.
For Ag2HgGeF8, a crystal structure in Alexandria, relaxed with GGA-PBE gives the theoretical XRD peak list in this record (CuKα).

a = 5.138 Å, b = 7.324 Å, c = 5.267 Å
α = 90.00°, β = 92.78°, γ = 90.00°
Space group P2/m (No. 10)
Asymmetric unit:
Ag1 0.000 0.237 0.000 [2 per cell]
Hg1 0.500 0.500 0.500 [1 per cell]
Ge1 0.500 0.000 0.500 [1 per cell]
F1 0.202 0.500 0.220 [2 per cell]
F2 0.222 0.000 0.268 [2 per cell]
F3 0.344 0.181 0.683 [4 per cell]

Largest 10 diffraction maxima, by angle, 10° ≤ 2θ ≤ 90°:
| (hkl) | 2θ (°) | I (rel.) |
| --- | --- | --- |
| 1 0 -1 | 23.6 | 100 |
| 1 0 1 | 24.8 | 78 |
| 0 2 1 | 29.7 | 87 |
| 1 2 0 | 30.0 | 77 |
| 0 0 2 | 34.1 | 26 |
| 2 0 0 | 35.0 | 22 |
| 1 2 -2 | 45.3 | 38 |
| 2 2 -1 | 45.9 | 31 |
| 1 2 2 | 46.7 | 29 |
| 2 2 1 | 47.2 | 27 |